1.
The following is a simulated powder XRD pattern of KMoO4. It was derived from a DFT-relaxed cell (GGA+U, the Materials Project), using CuKα.
No peak broadening, texture or thermal motion is included.

Top 12 peaks for 2θ from 10° to 90°, in order of rising 2θ:
- 6.963 Å, rel. 39, (0 0 1)
- 6.752 Å, rel. 100, (1 0 0)
- 6.505 Å, rel. 61, (1 0 1)
- 5.255 Å, rel. 37, (1 -1 0)
- 4.154 Å, rel. 27, (1 1 2)
- 3.315 Å, rel. 56, (2 1 2)
- 3.265 Å, rel. 57, (0 2 2)
- 3.212 Å, rel. 71, (2 -1 0)
- 3.021 Å, rel. 45, (1 2 0)
- 2.963 Å, rel. 51, (1 -1 2)
- 2.651 Å, rel. 27, (1 0 -2)
- 2.076 Å, rel. 35, (3 1 0)

Atomic structure:
Cell lengths 7.560, 7.916, 8.498 Å; angles 66.18, 64.16, 85.73 degrees
Space group P-1 (No. 2)
Symmetry-distinct sites (fractional):
K1 0.083 0.160 0.112 x2
K2 0.293 0.569 0.188 x2
Mo1 0.310 0.594 0.615 x2
Mo2 0.491 0.979 0.711 x2
O1 0.023 0.233 0.629 x2
O2 0.055 0.615 0.687 x2
O3 0.255 0.942 0.907 x2
O4 0.322 0.490 0.838 x2
O5 0.344 0.406 0.532 x2
O6 0.376 0.195 0.201 x2
O7 0.391 0.804 0.324 x2
O8 0.398 0.857 0.585 x2



2.
The following is a simulated powder XRD pattern of Li9Mn2Co5O16. It was derived from a DFT-relaxed cell (GGA+U, the Materials Project), using CuKα.
No peak broadening, texture or thermal motion is included.

Top 12 peaks for 2θ from 10° to 90°, in order of rising 2θ:
- 4.829 Å, rel. 100, (0 1 1)
- 2.540 Å, rel. 17, (1 1 -3)
- 2.485 Å, rel. 14, (-2 1 1)
- 2.448 Å, rel. 12, (1 -1 3)
- 2.123 Å, rel. 30, (1 2 -2)
- 2.068 Å, rel. 27, (-2 2 2)
- 2.031 Å, rel. 26, (1 0 4)
- 1.483 Å, rel. 8, (1 -4 0)
- 1.479 Å, rel. 8, (3 0 -4)
- 1.473 Å, rel. 7, (2 2 2)
- 1.461 Å, rel. 14, (0 2 -6)
- 1.438 Å, rel. 7, (3 -2 2)

Atomic structure:
Cell lengths 5.050, 5.934, 10.081 Å; angles 90.12, 101.19, 105.33 degrees
Space group P-1 (No. 2)
Symmetry-distinct sites (fractional):
Li1 0.000 0.000 0.000 x1
Li2 0.000 0.000 0.500 x1
Li3 0.000 0.500 0.000 x1
Li4 0.006 0.756 0.761 x2
Li5 0.497 0.121 0.375 x2
Li6 0.499 0.374 0.116 x2
Mn1 0.000 0.247 0.754 x2
Co1 0.000 0.500 0.500 x1
Co2 0.495 0.117 0.879 x2
Co3 0.497 0.624 0.374 x2
O1 0.232 0.539 0.684 x2
O2 0.235 0.798 0.432 x2
O3 0.238 0.566 0.201 x2
O4 0.245 0.024 0.192 x2
O5 0.246 0.078 0.699 x2
O6 0.252 0.304 0.923 x2
O7 0.265 0.324 0.448 x2
O8 0.273 0.816 0.949 x2



3.
The following is a simulated powder XRD pattern of Li4Mn2Ni3SnP6O24. It was derived from a DFT-relaxed cell (GGA+U, the Materials Project), using CuKα.
No peak broadening, texture or thermal motion is included.

Top 12 peaks for 2θ from 10° to 90°, in order of rising 2θ:
- 4.428 Å, rel. 100, (0 1 -1)
- 4.344 Å, rel. 18, (1 2 1)
- 3.761 Å, rel. 27, (0 2 1)
- 3.741 Å, rel. 28, (1 0 2)
- 3.722 Å, rel. 27, (2 1 0)
- 2.761 Å, rel. 34, (1 3 2)
- 2.744 Å, rel. 30, (2 1 3)
- 2.728 Å, rel. 27, (3 2 1)
- 2.557 Å, rel. 55, (-2 1 1)
- 1.881 Å, rel. 14, (0 4 2)
- 1.870 Å, rel. 13, (2 0 4)
- 1.674 Å, rel. 20, (-3 2 1)

Atomic structure:
Cell lengths 8.606, 8.690, 8.696 Å; angles 61.24, 61.64, 61.55 degrees
Space group P1 (No. 1)
Symmetry-distinct sites (fractional):
Li1 0.000 0.000 0.000 x1
Li2 0.101 0.959 0.488 x1
Li3 0.205 0.471 0.326 x1
Li4 0.536 0.675 0.793 x1
Mn1 0.359 0.817 0.135 x1
Mn2 0.826 0.316 0.634 x1
Ni1 0.200 0.663 0.986 x1
Ni2 0.485 0.967 0.284 x1
Ni3 0.704 0.169 0.486 x1
Sn1 0.989 0.464 0.789 x1
P1 0.097 0.267 0.192 x1
P2 0.293 0.066 0.677 x1
P3 0.398 0.566 0.587 x1
P4 0.595 0.360 0.095 x1
P5 0.791 0.870 0.893 x1
P6 0.899 0.780 0.390 x1
O1 0.033 0.306 0.033 x1
O2 0.082 0.766 0.216 x1
O3 0.084 0.209 0.740 x1
O4 0.158 0.422 0.158 x1
O5 0.239 0.497 0.632 x1
O6 0.249 0.073 0.205 x1
O7 0.286 0.021 0.530 x1
O8 0.298 0.896 0.864 x1
O9 0.369 0.621 0.745 x1
O10 0.386 0.736 0.407 x1
O11 0.427 0.550 0.090 x1
O12 0.448 0.138 0.613 x1
O13 0.544 0.206 0.117 x1
O14 0.588 0.413 0.558 x1
O15 0.603 0.882 0.049 x1
O16 0.680 0.320 0.232 x1
O17 0.723 0.826 0.357 x1
O18 0.734 0.415 0.881 x1
O19 0.785 0.054 0.727 x1
O20 0.826 0.711 0.831 x1
O21 0.895 0.912 0.460 x1
O22 0.941 0.567 0.531 x1
O23 0.944 0.241 0.385 x1
O24 0.952 0.831 0.952 x1



4.
The following is a simulated powder XRD pattern of MgMn4O7F. It was derived from a DFT-relaxed cell (GGA+U, the Materials Project), using CuKα.
No peak broadening, texture or thermal motion is included.

Top 12 peaks for 2θ from 10° to 90°, in order of rising 2θ:
- 6.158 Å, rel. 100, (0 0 1)
- 4.935 Å, rel. 40, (0 1 0)
- 4.789 Å, rel. 51, (1 0 0)
- 3.790 Å, rel. 38, (1 0 -1)
- 3.466 Å, rel. 90, (1 1 1)
- 3.432 Å, rel. 61, (1 1 -1)
- 2.677 Å, rel. 45, (1 -1 1)
- 2.593 Å, rel. 41, (0 1 -2)
- 2.162 Å, rel. 59, (-1 1 2)
- 2.131 Å, rel. 58, (1 -1 2)
- 2.082 Å, rel. 56, (2 2 0)
- 1.477 Å, rel. 58, (3 1 2)

Atomic structure:
Cell lengths 5.052, 5.208, 6.159 Å; angles 89.01, 89.96, 71.42 degrees
Space group P1 (No. 1)
Symmetry-distinct sites (fractional):
Mg1 0.000 0.000 0.000 x1
Mn1 0.004 0.991 0.506 x1
Mn2 0.337 0.403 0.760 x1
Mn3 0.503 0.005 0.265 x1
Mn4 0.982 0.506 0.262 x1
O1 0.201 0.802 0.743 x1
O2 0.226 0.241 0.479 x1
O3 0.234 0.798 0.283 x1
O4 0.237 0.256 0.053 x1
O5 0.744 0.768 0.064 x1
O6 0.762 0.213 0.275 x1
O7 0.766 0.771 0.475 x1
F1 0.771 0.227 0.746 x1



5.
The following is a simulated powder XRD pattern of Mn2As2O7. It was derived from a DFT-relaxed cell (GGA+U, the Materials Project), using CuKα.
No peak broadening, texture or thermal motion is included.

Top 12 peaks for 2θ from 10° to 90°, in order of rising 2θ:
- 4.469 Å, rel. 16, (0 2 0)
- 3.288 Å, rel. 50, (1 1 1)
- 3.265 Å, rel. 100, (0 2 1)
- 3.076 Å, rel. 52, (2 0 -1)
- 2.721 Å, rel. 11, (1 3 0)
- 2.676 Å, rel. 32, (2 2 0)
- 2.150 Å, rel. 13, (3 1 -1)
- 1.964 Å, rel. 15, (2 2 -2)
- 1.808 Å, rel. 11, (2 4 -1)
- 1.721 Å, rel. 24, (1 3 2)
- 1.569 Å, rel. 11, (3 3 -2)
- 1.433 Å, rel. 11, (1 3 -3)

Atomic structure:
Cell lengths 6.850, 8.938, 4.903 Å; angles 90.00, 102.77, 90.00 degrees
Space group C2/m (No. 12)
Symmetry-distinct sites (fractional):
Mn1 0.000 0.192 0.000 x4
As1 0.232 0.500 0.403 x4
O1 0.000 0.500 0.500 x2
O2 0.103 0.000 0.279 x4
O3 0.234 0.340 0.212 x8



6.
The following is a simulated powder XRD pattern of Fe4O3F5. It was derived from a DFT-relaxed cell (GGA+U, the Materials Project), using CuKα.
No peak broadening, texture or thermal motion is included.

Top 12 peaks for 2θ from 10° to 90°, in order of rising 2θ:
- 3.412 Å, rel. 100, (1 -1 0)
- 3.328 Å, rel. 97, (1 1 0)
- 2.649 Å, rel. 25, (0 1 -4)
- 2.630 Å, rel. 28, (1 0 -4)
- 2.612 Å, rel. 26, (1 0 4)
- 2.596 Å, rel. 25, (0 1 4)
- 1.771 Å, rel. 28, (-2 1 4)
- 1.763 Å, rel. 28, (-1 2 4)
- 1.706 Å, rel. 18, (2 -2 0)
- 1.570 Å, rel. 17, (0 0 8)
- 1.431 Å, rel. 17, (0 3 -4)
- 1.420 Å, rel. 17, (3 0 -4)

Atomic structure:
Cell lengths 4.763, 4.770, 12.560 Å; angles 91.25, 90.41, 91.42 degrees
Space group P-1 (No. 2)
Symmetry-distinct sites (fractional):
Fe1 0.000 0.000 0.000 x1
Fe2 0.000 0.000 0.500 x1
Fe3 0.017 0.035 0.241 x2
Fe4 0.481 0.539 0.866 x2
Fe5 0.482 0.489 0.389 x2
O1 0.186 0.805 0.875 x2
O2 0.288 0.287 0.505 x2
O3 0.317 0.308 0.252 x2
F1 0.189 0.806 0.629 x2
F2 0.191 0.813 0.370 x2
F3 0.218 0.790 0.131 x2
F4 0.283 0.293 0.753 x2
F5 0.319 0.320 0.999 x2



7.
The following is a simulated powder XRD pattern of SrCrO4. It was derived from a DFT-relaxed cell (GGA+U, the Materials Project), using CuKα.
No peak broadening, texture or thermal motion is included.

Top 12 peaks for 2θ from 10° to 90°, in order of rising 2θ:
- 7.338 Å, rel. 19, (1 0 0)
- 4.170 Å, rel. 100, (0 2 0)
- 3.669 Å, rel. 46, (2 0 0)
- 3.591 Å, rel. 15, (0 2 1)
- 3.533 Å, rel. 52, (0 0 2)
- 3.074 Å, rel. 36, (2 1 -1)
- 2.994 Å, rel. 14, (2 1 1)
- 2.755 Å, rel. 15, (2 2 0)
- 2.696 Å, rel. 50, (0 2 2)
- 2.446 Å, rel. 16, (3 0 0)
- 2.144 Å, rel. 18, (2 2 2)
- 1.960 Å, rel. 22, (2 1 -3)

Atomic structure:
Cell lengths 7.343, 8.340, 7.071 Å; angles 90.00, 92.11, 90.00 degrees
Space group P2_1/c (No. 14)
Symmetry-distinct sites (fractional):
Sr1 0.170 0.046 0.258 x4
Cr1 0.278 0.001 0.716 x4
O1 0.171 0.525 0.417 x4
O2 0.194 0.635 0.064 x4
O3 0.210 0.178 0.622 x4
O4 0.499 0.007 0.259 x4



8.
The following is a simulated powder XRD pattern of Na3Mn2P2C2O14. It was derived from a DFT-relaxed cell (GGA+U, the Materials Project), using CuKα.
No peak broadening, texture or thermal motion is included.

Top 12 peaks for 2θ from 10° to 90°, in order of rising 2θ:
- 5.374 Å, rel. 53, (-1 1 1)
- 5.270 Å, rel. 54, (1 -1 1)
- 4.583 Å, rel. 37, (1 1 0)
- 4.456 Å, rel. 41, (1 1 -2)
- 3.681 Å, rel. 38, (0 2 -2)
- 3.470 Å, rel. 84, (1 1 1)
- 3.361 Å, rel. 32, (1 1 -3)
- 3.294 Å, rel. 100, (2 -2 0)
- 2.656 Å, rel. 39, (3 -1 0)
- 2.643 Å, rel. 43, (1 1 2)
- 2.610 Å, rel. 59, (2 2 -2)
- 1.647 Å, rel. 30, (4 -4 0)

Atomic structure:
Cell lengths 8.385, 8.431, 10.286 Å; angles 106.55, 108.09, 103.21 degrees
Space group P-1 (No. 2)
Symmetry-distinct sites (fractional):
Na1 0.009 0.474 0.248 x2
Na2 0.266 0.253 0.762 x2
Na3 0.487 0.989 0.231 x2
Mn1 0.190 0.944 0.348 x2
Mn2 0.317 0.559 0.652 x2
P1 0.051 0.809 0.573 x2
P2 0.445 0.709 0.428 x2
C1 0.028 0.778 0.080 x2
C2 0.469 0.718 0.921 x2
O1 0.016 0.265 0.816 x2
O2 0.026 0.073 0.336 x2
O3 0.051 0.309 0.054 x2
O4 0.095 0.336 0.575 x2
O5 0.155 0.732 0.674 x2
O6 0.168 0.925 0.144 x2
O7 0.188 0.935 0.536 x2
O8 0.318 0.584 0.469 x2
O9 0.328 0.570 0.852 x2
O10 0.330 0.788 0.330 x2
O11 0.410 0.144 0.424 x2
O12 0.460 0.203 0.941 x2
O13 0.471 0.388 0.666 x2
O14 0.479 0.231 0.173 x2



Question: Which formula does entry 4 have?
Answer: MgMn4O7F